Starting from the PBE+U geometry in Alexandria, the powder diffractogram of MnSb2O4 was simulated for Cu Kα (λ = 1.5418 Å).
Kinematic intensities with the Lorentz-polarization factor, no thermal factor.

Atomic structure:
abc: 8.859 8.859 6.174
angles: 90.00 90.00 90.00
Sites, in units of the cell vectors:
1 Mn 0.000 0.500 0.250
2 Mn 0.000 0.500 0.750
3 Mn 0.500 0.000 0.250
4 Mn 0.500 0.000 0.750
5 Sb 0.169 0.181 0.000
6 Sb 0.181 0.831 0.500
7 Sb 0.319 0.331 0.500
8 Sb 0.331 0.681 0.000
9 Sb 0.669 0.319 0.000
10 Sb 0.681 0.669 0.500
11 Sb 0.819 0.169 0.500
12 Sb 0.831 0.819 0.000
13 O 0.100 0.359 0.500
14 O 0.141 0.400 0.000
15 O 0.181 0.681 0.250
16 O 0.181 0.681 0.750
17 O 0.319 0.181 0.250
18 O 0.319 0.181 0.750
19 O 0.359 0.900 0.000
20 O 0.400 0.859 0.500
21 O 0.600 0.141 0.500
22 O 0.641 0.100 0.000
23 O 0.681 0.819 0.250
24 O 0.681 0.819 0.750
25 O 0.819 0.319 0.250
26 O 0.819 0.319 0.750
27 O 0.859 0.600 0.000
28 O 0.900 0.641 0.500

Main lines, sorted by position (2θ from 5° to 70°):
20.05 deg, I 19, (2 0 0); 26.74 deg, I 100, (2 1 1); 28.50 deg, I 17, (2 2 0); 28.92 deg, I 12, (0 0 2); 31.95 deg, I 20, (3 1 0); 35.44 deg, I 25, (2 0 2); 44.66 deg, I 38, (4 1 1); 49.94 deg, I 18, (2 1 3); 52.94 deg, I 24, (3 3 2); 62.49 deg, I 13, (4 1 3)